LiV2P2O8: calculated powder XRD pattern (Cu Kα X-rays), based on a DFT-relaxed cell (PBE+U, Alexandria).
Lines closer than 0.1° are merged.

Structural model:
a b c (Å): 4.8341 10.3561 5.9305
angles (deg): 90.00 90.92 90.00
Positions (direct):
Li 0.2499 0.0000 0.2320
Li 0.7501 0.5000 0.7680
V 0.2328 0.2789 0.9989
V 0.2774 0.7287 0.4995
V 0.7226 0.2287 0.5005
V 0.7672 0.7789 0.0011
P 0.1551 0.4104 0.4987
P 0.3220 0.5988 0.9983
P 0.6780 0.0988 0.0017
P 0.8449 0.9104 0.5013
O 0.0012 0.8430 0.2966
O 0.0081 0.6071 0.9852
O 0.0167 0.3314 0.3015
O 0.0670 0.5527 0.5008
O 0.4362 0.4617 0.9930
O 0.4478 0.6784 0.2037
O 0.4657 0.6734 0.7914
O 0.4691 0.3931 0.5131
O 0.5309 0.8931 0.4869
O 0.5343 0.1734 0.2086
O 0.5522 0.1784 0.7963
O 0.5638 0.9617 0.0070
O 0.9330 0.0527 0.4992
O 0.9833 0.8314 0.6985
O 0.9919 0.1071 0.0148
O 0.9988 0.3430 0.7034

Largest 10 diffraction maxima, by intensity, 2θ = 15–90°:
d/Å	I (rel.)	index
4.380	100	1 1 0
2.965	81	0 0 2
2.530	66	1 3 1
2.548	64	1 3 -1
5.178	52	0 2 0
3.900	43	0 2 1
3.499	43	1 1 1
3.548	39	1 1 -1
2.283	29	1 4 0
1.657	22	0 6 1